PrZnCu3: simulated powder X-ray diffraction pattern (λ = 1.5418 Å (Cu Kα)), based on DFT lattice parameters and positions (GGA-PBE).

Most intense lines, 2θ from 5° to 70°, by angle:
2θ/deg  Rel. int.
29.16  97
29.49  52
29.62  32
33.60  17
41.35  46
41.71  100
41.97  20
42.37  64
43.02  17
46.88  14
60.45  30
68.45  14

a b c (Å): 6.5429 6.5429 6.5429
angles (deg): 134.52 97.18 100.01
Sites, in units of the cell vectors:
Pr (0.2933, 0.0433, 0.2500)
Pr (0.7067, 0.9567, 0.7500)
Zn (0.0000, 0.5000, 0.5000)
Zn (0.5000, 0.5000, 0.0000)
Cu (0.0764, 0.3264, 0.7500)
Cu (0.2349, 0.0000, 0.7349)
Cu (0.2349, 0.5000, 0.2349)
Cu (0.7651, 0.0000, 0.2651)
Cu (0.7651, 0.5000, 0.7651)
Cu (0.9236, 0.6736, 0.2500)